Diffraction record for Dy5Ir3. The PXRD pattern is calculated, not measured: it uses a structure optimized by DFT (GGA-PBE) and Cu Ka.
Lines closer than 0.1° are merged.

Structural model:
```
Dy5Ir3
1.0
10.9045 0.0000 0.0000
0.0000 10.9045 0.0000
0.0000 0.0000 6.3479
Dy Ir
20 12
Direct
0.0414 0.1615 0.1218
0.0414 0.3385 0.6218
0.1615 0.0414 0.6218
0.1615 0.4586 0.1218
0.2500 0.7500 0.0000
0.2500 0.7500 0.5000
0.3385 0.0414 0.1218
0.3385 0.4586 0.6218
0.4586 0.1615 0.6218
0.4586 0.3385 0.1218
0.5414 0.6615 0.8782
0.5414 0.8385 0.3782
0.6615 0.5414 0.3782
0.6615 0.9586 0.8782
0.7500 0.2500 0.0000
0.7500 0.2500 0.5000
0.8385 0.5414 0.8782
0.8385 0.9586 0.3782
0.9586 0.6615 0.3782
0.9586 0.8385 0.8782
0.0966 0.5966 0.7500
0.0966 0.9034 0.2500
0.2500 0.2500 0.3765
0.2500 0.2500 0.8765
0.4034 0.5966 0.2500
0.4034 0.9034 0.7500
0.5966 0.0966 0.2500
0.5966 0.4034 0.7500
0.7500 0.7500 0.1235
0.7500 0.7500 0.6235
0.9034 0.0966 0.7500
0.9034 0.4034 0.2500
```

Main lines, by angle (15 to 90 degrees two-theta):
23.01°, I = 21, hkl 2 1 1; 29.48°, I = 37, hkl 3 1 1; 32.80°, I = 34, hkl 3 2 1; 33.69°, I = 41, hkl 2 1 2; 36.84°, I = 100, hkl 4 2 0; 37.62°, I = 20, hkl 3 0 2; 38.55°, I = 27, hkl 3 1 2; 39.59°, I = 13, hkl 4 2 1; 43.77°, I = 13, hkl 4 0 2; 46.80°, I = 21, hkl 2 1 3; 47.12°, I = 18, hkl 4 4 0; 61.84°, I = 15, hkl 5 4 2